Entry 1:
Diffraction record for Ac2GeHRh. The powder diffractogram is calculated, not measured: it uses a cell relaxed with GGA-PBE and Cu Kα X-rays.
Peak positions follow from Bragg's law for the DFT cell and can differ from measured ones.

Cell and atoms:
```
data_Ac2GeHRh
_chemical_formula_sum 'Ac4 Ge2 H2 Rh2'
_symmetry_space_group_name_H-M 'P 1'
_symmetry_Int_Tables_number 1
_cell_length_a 6.4677
_cell_length_b 4.5390
_cell_length_c 8.5423
_cell_angle_alpha 90.00
_cell_angle_beta 106.36
_cell_angle_gamma 90.00
loop_
_symmetry_equiv_pos_as_xyz
'x,y,z'
loop_
_atom_site_label
_atom_site_type_symbol
_atom_site_fract_x
_atom_site_fract_y
_atom_site_fract_z
_atom_site_occupancy
Ac1 Ac 0.2326 0.2500 0.4154 1
Ac2 Ac 0.2462 0.2500 0.9659 1
Ac3 Ac 0.7538 0.7500 0.0341 1
Ac4 Ac 0.7674 0.7500 0.5846 1
Ge1 Ge 0.3184 0.7500 0.7038 1
Ge2 Ge 0.6816 0.2500 0.2962 1
H1 H 0.1756 0.7500 0.1644 1
H2 H 0.8244 0.2500 0.8356 1
Rh1 Rh 0.4565 0.7500 0.2356 1
Rh2 Rh 0.5435 0.2500 0.7644 1
```

Top 6 peaks for 2θ = 10–80°, in order of rising 2θ:
| 2θ/deg | d [Å] | I/Imax |
| --- | --- | --- |
| 24.3 | 3.664 | 95 |
| 29.3 | 3.044 | 100 |
| 29.9 | 2.989 | 72 |
| 30.9 | 2.898 | 44 |
| 35.5 | 2.530 | 52 |
| 39.7 | 2.270 | 45 |

---

Entry 2:
Diffraction record for AcGeH2Ru2. The powder diffractogram is calculated, not measured: it uses a cell relaxed with GGA-PBE and Cu Kα X-rays.
Peak positions follow from Bragg's law for the DFT cell and can differ from measured ones.

Cell and atoms:
```
data_AcGeH2Ru2
_chemical_formula_sum 'Ac2 Ge2 H4 Ru4'
_symmetry_space_group_name_H-M 'P 1'
_symmetry_Int_Tables_number 1
_cell_length_a 6.2451
_cell_length_b 5.4825
_cell_length_c 6.2713
_cell_angle_alpha 90.00
_cell_angle_beta 110.76
_cell_angle_gamma 90.00
loop_
_symmetry_equiv_pos_as_xyz
'x,y,z'
loop_
_atom_site_label
_atom_site_type_symbol
_atom_site_fract_x
_atom_site_fract_y
_atom_site_fract_z
_atom_site_occupancy
Ac1 Ac 0.1858 0.2500 0.3157 1
Ac2 Ac 0.8142 0.7500 0.6843 1
Ge1 Ge 0.3474 0.7500 0.1497 1
Ge2 Ge 0.6526 0.2500 0.8503 1
H1 H 0.1088 0.2500 0.7312 1
H2 H 0.2340 0.7500 0.6088 1
H3 H 0.7660 0.2500 0.3912 1
H4 H 0.8912 0.7500 0.2688 1
Ru1 Ru 0.3086 0.0000 0.8078 1
Ru2 Ru 0.3086 0.5000 0.8078 1
Ru3 Ru 0.6914 0.0000 0.1922 1
Ru4 Ru 0.6914 0.5000 0.1922 1
```

Top 6 peaks for 2θ = 10–80°, in order of rising 2θ:
| 2θ/deg | d [Å] | I/Imax |
| --- | --- | --- |
| 22.2 | 4.001 | 85 |
| 23.7 | 3.754 | 100 |
| 30.5 | 2.932 | 55 |
| 30.6 | 2.920 | 56 |
| 37.2 | 2.420 | 87 |
| 41.6 | 2.171 | 88 |

---

Entry 3:
Diffraction record for Ac5Hg2Ge2. The powder diffractogram is calculated, not measured: it uses a cell relaxed with GGA-PBE and Cu Kα X-rays.
Peak positions follow from Bragg's law for the DFT cell and can differ from measured ones.

Cell and atoms:
```
data_Ac5Hg2Ge2
_chemical_formula_sum 'Ac10 Hg4 Ge4'
_symmetry_space_group_name_H-M 'P 1'
_symmetry_Int_Tables_number 1
_cell_length_a 9.5009
_cell_length_b 9.5009
_cell_length_c 8.5174
_cell_angle_alpha 90.00
_cell_angle_beta 90.00
_cell_angle_gamma 53.63
loop_
_symmetry_equiv_pos_as_xyz
'x,y,z'
loop_
_atom_site_label
_atom_site_type_symbol
_atom_site_fract_x
_atom_site_fract_y
_atom_site_fract_z
_atom_site_occupancy
Ac1 Ac 0.0000 0.0000 0.0000 1
Ac2 Ac 0.0406 0.6995 0.6630 1
Ac3 Ac 0.1995 0.5406 0.1630 1
Ac4 Ac 0.3005 0.9594 0.6630 1
Ac5 Ac 0.4594 0.8005 0.1630 1
Ac6 Ac 0.5000 0.5000 0.5000 1
Ac7 Ac 0.5406 0.1995 0.8370 1
Ac8 Ac 0.6995 0.0406 0.3370 1
Ac9 Ac 0.8005 0.4594 0.8370 1
Ac10 Ac 0.9594 0.3005 0.3370 1
Hg1 Hg 0.2076 0.2076 0.0000 1
Hg2 Hg 0.2924 0.2924 0.5000 1
Hg3 Hg 0.7076 0.7076 0.5000 1
Hg4 Hg 0.7924 0.7924 0.0000 1
Ge1 Ge 0.1343 0.8657 0.3625 1
Ge2 Ge 0.3657 0.6343 0.8625 1
Ge3 Ge 0.6343 0.3657 0.1375 1
Ge4 Ge 0.8657 0.1343 0.6375 1
```

Top 6 peaks for 2θ = 10–80°, in order of rising 2θ:
| 2θ/deg | d [Å] | I/Imax |
| --- | --- | --- |
| 28.2 | 3.162 | 63 |
| 29.6 | 3.017 | 100 |
| 30.2 | 2.958 | 59 |
| 31.5 | 2.842 | 66 |
| 33.5 | 2.675 | 51 |
| 33.7 | 2.662 | 48 |